Diffraction record for TbTlMo2O8. The PXRD pattern is simulated, not measured: it uses a crystal structure in Alexandria, relaxed with PBE+U and Cu Kα X-rays.
No peak broadening, texture or thermal motion is included.

Peak list (10 most intense, 15° ≤ 2θ ≤ 90°, in order of falling intensity)
(hkl), 2theta, intensity
1 1 2, 28.34, 100
1 5 0, 28.85, 84
0 4 2, 28.68, 71
2 4 2, 45.71, 62
1 1 1, 20.92, 56
1 3 1, 24.67, 46
1 9 2, 51.22, 35
1 5 4, 53.97, 28
2 0 0, 34.82, 24
1 1 3, 37.79, 20

a b c (Å): 5.154 19.355 8.131
angles (deg): 90.00 90.00 90.00
Atoms (fractional coordinates):
Tb (0.000, 0.004, 0.250)
Tb (0.000, 0.996, 0.750)
Tb (0.500, 0.496, 0.750)
Tb (0.500, 0.504, 0.250)
Tl (0.000, 0.226, 0.750)
Tl (0.000, 0.774, 0.250)
Tl (0.500, 0.274, 0.250)
Tl (0.500, 0.726, 0.750)
Mo (0.022, 0.402, 0.011)
Mo (0.022, 0.598, 0.511)
Mo (0.478, 0.098, 0.511)
Mo (0.478, 0.902, 0.011)
Mo (0.522, 0.098, 0.989)
Mo (0.522, 0.902, 0.489)
Mo (0.978, 0.402, 0.489)
Mo (0.978, 0.598, 0.989)
O (0.098, 0.317, 0.484)
O (0.098, 0.683, 0.984)
O (0.232, 0.407, 0.836)
O (0.232, 0.593, 0.336)
O (0.241, 0.411, 0.185)
O (0.241, 0.589, 0.685)
O (0.247, 0.035, 0.004)
O (0.247, 0.965, 0.504)
O (0.253, 0.465, 0.504)
O (0.253, 0.535, 0.004)
O (0.259, 0.089, 0.685)
O (0.259, 0.911, 0.185)
O (0.268, 0.093, 0.336)
O (0.268, 0.907, 0.836)
O (0.402, 0.183, 0.984)
O (0.402, 0.817, 0.484)
O (0.598, 0.183, 0.516)
O (0.598, 0.817, 0.016)
O (0.732, 0.093, 0.164)
O (0.732, 0.907, 0.664)
O (0.741, 0.089, 0.815)
O (0.741, 0.911, 0.315)
O (0.747, 0.465, 0.996)
O (0.747, 0.535, 0.496)
O (0.753, 0.035, 0.496)
O (0.753, 0.965, 0.996)
O (0.759, 0.411, 0.315)
O (0.759, 0.589, 0.815)
O (0.768, 0.407, 0.664)
O (0.768, 0.593, 0.164)
O (0.902, 0.317, 0.016)
O (0.902, 0.683, 0.516)

Diffraction record for Tc2MoO8. The PXRD pattern is simulated, not measured: it uses a crystal structure in Alexandria, relaxed with PBE+U and Cu Kα X-rays.
No peak broadening, texture or thermal motion is included.

Peak list (10 most intense, 15° ≤ 2θ ≤ 90°, in order of falling intensity)
(hkl), 2theta, intensity
0 1 1, 22.07, 100
1 1 0, 30.46, 35
1 2 1, 49.40, 21
1 0 2, 32.34, 19
0 2 2, 45.02, 14
1 0 3, 44.89, 9
2 0 1, 37.93, 8
2 1 2, 55.33, 8
3 1 1, 67.99, 8
2 2 0, 63.38, 7

a b c (Å): 5.870 5.870 6.601
angles (deg): 90.00 90.00 120.00
Atoms (fractional coordinates):
Tc (0.333, 0.667, 0.273)
Tc (0.667, 0.333, 0.727)
Mo (0.000, 0.000, 0.000)
O (0.170, 0.340, 0.179)
O (0.170, 0.830, 0.179)
O (0.333, 0.667, 0.533)
O (0.340, 0.170, 0.821)
O (0.660, 0.830, 0.179)
O (0.667, 0.333, 0.467)
O (0.830, 0.170, 0.821)
O (0.830, 0.660, 0.821)